Entry 1:
Diffraction record for ZnPt19. The powder X-ray diffraction pattern is computed, not measured: it uses a cell relaxed with GGA-PBE and Cu Kα.
Kinematic intensities with the Lorentz-polarization factor, no thermal factor.

The 10 most intense peaks (10° ≤ 2θ ≤ 90°), by intensity:
2θ/deg	intensity
39.7	100
45.9	79
39.4	70
37.6	30
67.0	30
44.4	19
81.0	18
80.4	15
80.7	13
65.8	12

Cell: 5.5564 3.9539 42.0861 Å, 90.00 90.00 90.00°
Element x y z (fractional)
Zn  0.1250  0.2500  0.1829
Zn  0.8750  0.7500  0.8171
Pt  0.1221  0.2500  0.7892
Pt  0.1231  0.2500  0.7196
Pt  0.1250  0.2500  0.2461
Pt  0.1250  0.2500  0.3147
Pt  0.1249  0.2500  0.3822
Pt  0.1249  0.2500  0.4495
Pt  0.1252  0.2500  0.5168
Pt  0.1255  0.2500  0.5842
Pt  0.1248  0.2500  0.6518
Pt  0.3722  0.7500  0.2108
Pt  0.3730  0.7500  0.2804
Pt  0.3748  0.7500  0.3483
Pt  0.3752  0.7500  0.4831
Pt  0.3750  0.7500  0.5506
Pt  0.3749  0.7500  0.6184
Pt  0.3750  0.7500  0.6859
Pt  0.3751  0.7500  0.7525
Pt  0.3749  0.7500  0.8176
Pt  0.3755  0.7500  0.4157
Pt  0.6245  0.2500  0.5843
Pt  0.6251  0.2500  0.1824
Pt  0.6249  0.2500  0.2475
Pt  0.6250  0.2500  0.3141
Pt  0.6251  0.2500  0.3816
Pt  0.6250  0.2500  0.4494
Pt  0.6248  0.2500  0.5169
Pt  0.6252  0.2500  0.6517
Pt  0.6270  0.2500  0.7196
Pt  0.6278  0.2500  0.7892
Pt  0.8752  0.7500  0.3482
Pt  0.8745  0.7500  0.4158
Pt  0.8748  0.7500  0.4832
Pt  0.8751  0.7500  0.5505
Pt  0.8751  0.7500  0.6178
Pt  0.8750  0.7500  0.6853
Pt  0.8750  0.7500  0.7539
Pt  0.8769  0.7500  0.2804
Pt  0.8779  0.7500  0.2108

=====

Entry 2:
Diffraction record for Cs2Nd2Al2O7. The powder X-ray diffraction pattern is computed, not measured: it uses a cell relaxed with GGA-PBE and Cu Kα.
Kinematic intensities with the Lorentz-polarization factor, no thermal factor.

The 10 most intense peaks (10° ≤ 2θ ≤ 90°), by intensity:
2θ/deg	intensity
25.6	100
26.0	79
30.3	36
29.1	34
42.5	28
51.1	28
17.8	24
53.2	23
26.4	21
51.3	21

Cell: 7.3660 7.3660 7.3660 Å, 132.79 97.14 101.32°
Element x y z (fractional)
Cs  0.0000  0.0000  0.0000
Cs  0.6878  0.1878  0.5000
Nd  0.2439  0.4347  0.8092
Nd  0.6255  0.4347  0.1908
Al  0.0915  0.7527  0.3387
Al  0.4140  0.7527  0.6613
O  0.0322  0.0325  0.4741
O  0.0322  0.5580  0.9997
O  0.2050  0.5673  0.6377
O  0.3499  0.8499  0.5000
O  0.5583  0.0325  0.0003
O  0.5583  0.5580  0.5259
O  0.9295  0.5673  0.3623

=====

Entry 3:
Diffraction record for SiGe2MoPt2. The powder X-ray diffraction pattern is computed, not measured: it uses a cell relaxed with GGA-PBE and Cu Kα.
Kinematic intensities with the Lorentz-polarization factor, no thermal factor.

The 10 most intense peaks (10° ≤ 2θ ≤ 90°), by intensity:
2θ/deg	intensity
41.8	100
41.5	96
31.3	69
18.4	42
45.2	40
31.8	39
85.4	36
50.4	34
67.6	33
43.4	32

Cell: 3.6206 9.3422 5.6215 Å, 90.00 90.00 90.00°
Element x y z (fractional)
Si  0.0000  0.2227  0.0000
Si  0.0000  0.7773  0.5000
Ge  0.0000  0.4368  0.5132
Ge  0.0000  0.5632  0.0132
Ge  0.5000  0.1234  0.3527
Ge  0.5000  0.8766  0.8527
Mo  0.5000  0.3917  0.1897
Mo  0.5000  0.6083  0.6897
Pt  0.0000  0.0367  0.6911
Pt  0.0000  0.9633  0.1911
Pt  0.5000  0.2879  0.7049
Pt  0.5000  0.7121  0.2049

=====

Entry 4:
Diffraction record for DyGaAsO. The powder X-ray diffraction pattern is computed, not measured: it uses a cell relaxed with GGA-PBE and Cu Kα.
Kinematic intensities with the Lorentz-polarization factor, no thermal factor.

The 10 most intense peaks (10° ≤ 2θ ≤ 90°), by intensity:
2θ/deg	intensity
30.2	100
34.5	49
40.0	30
46.6	27
22.7	27
63.0	22
38.8	16
50.8	15
43.9	14
57.0	11

Cell: 4.5116 4.9814 6.3609 Å, 90.00 90.00 90.00°
Element x y z (fractional)
Dy  0.0000  0.2252  0.0000
Dy  0.0000  0.7748  0.5000
Ga  0.5000  0.3627  0.3368
Ga  0.5000  0.6373  0.8368
As  0.5000  0.1273  0.6912
As  0.5000  0.8727  0.1912
O  0.0000  0.3964  0.3189
O  0.0000  0.6036  0.8189

=====

Entry 5:
Diffraction record for Cu2Ag3. The powder X-ray diffraction pattern is computed, not measured: it uses a cell relaxed with GGA-PBE and Cu Kα.
Kinematic intensities with the Lorentz-polarization factor, no thermal factor.

The 10 most intense peaks (10° ≤ 2θ ≤ 90°), by intensity:
2θ/deg	intensity
39.6	100
39.2	90
44.6	65
67.7	33
48.2	28
79.0	21
78.2	14
34.3	12
65.4	10
84.0	10

Cell: 2.8522 3.7766 14.4920 Å, 90.00 90.00 90.00°
Element x y z (fractional)
Cu  0.2500  0.2500  0.0443
Cu  0.2500  0.2500  0.2352
Cu  0.7500  0.7500  0.7648
Cu  0.7500  0.7500  0.9557
Ag  0.2500  0.2500  0.4442
Ag  0.2500  0.2500  0.6666
Ag  0.2500  0.2500  0.8612
Ag  0.7500  0.7500  0.1388
Ag  0.7500  0.7500  0.3334
Ag  0.7500  0.7500  0.5558

=====

Entry 6:
Diffraction record for HoLu3C2Se2. The powder X-ray diffraction pattern is computed, not measured: it uses a cell relaxed with GGA-PBE and Cu Kα.
Kinematic intensities with the Lorentz-polarization factor, no thermal factor.

The 10 most intense peaks (10° ≤ 2θ ≤ 90°), by intensity:
2θ/deg	intensity
34.9	100
28.0	29
49.5	28
62.0	19
83.2	17
66.7	16
57.5	15
28.8	14
41.7	10
51.0	10

Cell: 3.6838 3.6838 12.9871 Å, 90.00 90.00 120.00°
Element x y z (fractional)
Ho  0.0000  0.0000  0.0000
Lu  0.0000  0.0000  0.6965
Lu  0.6667  0.3333  0.2004
Lu  0.6667  0.3333  0.5004
C  0.3333  0.6667  0.1018
C  0.3333  0.6667  0.5982
Se  0.0000  0.0000  0.3500
Se  0.6667  0.3333  0.8453

=====

Entry 7:
Diffraction record for NaAuI4O12. The powder X-ray diffraction pattern is computed, not measured: it uses a cell relaxed with GGA-PBE and Cu Kα.
Kinematic intensities with the Lorentz-polarization factor, no thermal factor.

The 10 most intense peaks (10° ≤ 2θ ≤ 90°), by intensity:
2θ/deg	intensity
29.3	100
22.2	91
31.0	67
52.0	48
26.3	36
39.8	34
32.6	34
42.4	29
22.5	25
54.1	23

Cell: 10.9880 4.3078 12.2635 Å, 90.00 116.44 90.00°
Element x y z (fractional)
Na  0.0000  0.0000  0.0000
Na  0.0000  0.5000  0.5000
Au  0.5000  0.0000  0.5000
Au  0.5000  0.5000  0.0000
I  0.1576  0.0315  0.3217
I  0.1576  0.4685  0.8217
I  0.3198  0.0268  0.6544
I  0.3198  0.4732  0.1544
I  0.6802  0.5268  0.8456
I  0.6802  0.9732  0.3456
I  0.8424  0.5315  0.1783
I  0.8424  0.9685  0.6783
O  0.0516  0.1731  0.8453
O  0.0516  0.3269  0.3453
O  0.1482  0.2357  0.1848
O  0.1482  0.2643  0.6848
O  0.1730  0.6379  0.0242
O  0.1730  0.8621  0.5242
O  0.3218  0.2362  0.4360
O  0.3218  0.2638  0.9360
O  0.3364  0.7441  0.2727
O  0.3364  0.7559  0.7727
O  0.4526  0.7117  0.1241
O  0.4526  0.7883  0.6241
O  0.5474  0.2117  0.3759
O  0.5474  0.2883  0.8759
O  0.6636  0.2441  0.2273
O  0.6636  0.2559  0.7273
O  0.6782  0.7362  0.0640
O  0.6782  0.7638  0.5640
O  0.8270  0.1379  0.4758
O  0.8270  0.3621  0.9758
O  0.8518  0.7357  0.3152
O  0.8518  0.7643  0.8152
O  0.9484  0.6731  0.6547
O  0.9484  0.8269  0.1547

=====

Entry 8:
Diffraction record for LaNiSnAsPd. The powder X-ray diffraction pattern is computed, not measured: it uses a cell relaxed with GGA-PBE and Cu Kα.
Kinematic intensities with the Lorentz-polarization factor, no thermal factor.

The 10 most intense peaks (10° ≤ 2θ ≤ 90°), by intensity:
2θ/deg	intensity
33.4	100
39.5	78
33.1	61
52.7	55
27.7	39
57.1	26
46.1	20
63.1	19
50.1	17
81.4	16

Cell: 4.5624 4.5624 9.9325 Å, 90.00 90.00 90.00°
Element x y z (fractional)
La  0.2500  0.2500  0.2434
La  0.7500  0.7500  0.7566
Ni  0.2500  0.7500  0.5000
Ni  0.7500  0.2500  0.5000
Sn  0.2500  0.2500  0.6188
Sn  0.7500  0.7500  0.3812
As  0.2500  0.7500  0.0000
As  0.7500  0.2500  0.0000
Pd  0.2500  0.2500  0.8887
Pd  0.7500  0.7500  0.1113

=====

Entry 9:
Diffraction record for HoErSiCl2. The powder X-ray diffraction pattern is computed, not measured: it uses a cell relaxed with GGA-PBE and Cu Kα.
Kinematic intensities with the Lorentz-polarization factor, no thermal factor.

The 10 most intense peaks (10° ≤ 2θ ≤ 90°), by intensity:
2θ/deg	intensity
31.8	100
27.3	52
45.9	36
45.2	32
25.6	24
56.3	19
18.4	18
75.0	16
38.2	14
76.0	14

Cell: 4.0119 4.0119 9.6194 Å, 90.00 90.00 120.00°
Element x y z (fractional)
Ho  0.0000  0.0000  0.0000
Er  0.3333  0.6667  0.6660
Si  0.6667  0.3333  0.8323
Cl  0.0000  0.0000  0.5035
Cl  0.3333  0.6667  0.1637

=====

Entry 10:
Diffraction record for LuMgCuGe. The powder X-ray diffraction pattern is computed, not measured: it uses a cell relaxed with GGA-PBE and Cu Kα.
Kinematic intensities with the Lorentz-polarization factor, no thermal factor.

The 10 most intense peaks (10° ≤ 2θ ≤ 90°), by intensity:
2θ/deg	intensity
38.0	100
68.7	34
23.0	27
26.6	21
54.9	17
44.9	14
81.4	11
62.0	8
60.3	6
47.0	6

Cell: 6.6909 6.6909 6.6909 Å, 90.00 90.00 90.00°
Element x y z (fractional)
Lu  0.0000  0.0000  0.0000
Lu  0.0000  0.5000  0.5000
Lu  0.5000  0.0000  0.5000
Lu  0.5000  0.5000  0.0000
Mg  0.2500  0.2500  0.7500
Mg  0.2500  0.7500  0.2500
Mg  0.7500  0.2500  0.2500
Mg  0.7500  0.7500  0.7500
Cu  0.0000  0.0000  0.5000
Cu  0.0000  0.5000  0.0000
Cu  0.5000  0.0000  0.0000
Cu  0.5000  0.5000  0.5000
Ge  0.2500  0.2500  0.2500
Ge  0.2500  0.7500  0.7500
Ge  0.7500  0.2500  0.7500
Ge  0.7500  0.7500  0.2500

=====

Entry 11:
Diffraction record for Cu5Ag4. The powder X-ray diffraction pattern is computed, not measured: it uses a cell relaxed with GGA-PBE and Cu Kα.
Kinematic intensities with the Lorentz-polarization factor, no thermal factor.

The 10 most intense peaks (10° ≤ 2θ ≤ 90°), by intensity:
2θ/deg	intensity
40.7	100
40.2	99
45.0	65
70.3	31
51.0	25
80.4	21
79.3	14
34.8	11
66.3	11
88.2	10

Cell: 13.1759 13.1759 13.1759 Å, 167.72 164.39 19.91°
Element x y z (fractional)
Cu  0.0000  0.0000  0.0000
Cu  0.3402  0.3402  0.0000
Cu  0.4522  0.4522  0.0000
Cu  0.5478  0.5478  0.0000
Cu  0.6598  0.6598  0.0000
Ag  0.1043  0.1043  0.0000
Ag  0.2164  0.2164  0.0000
Ag  0.7836  0.7836  0.0000
Ag  0.8957  0.8957  0.0000

=====

Entry 12:
Diffraction record for KNaAsPt. The powder X-ray diffraction pattern is computed, not measured: it uses a cell relaxed with GGA-PBE and Cu Kα.
Kinematic intensities with the Lorentz-polarization factor, no thermal factor.

The 10 most intense peaks (10° ≤ 2θ ≤ 90°), by intensity:
2θ/deg	intensity
15.3	100
18.7	62
35.1	47
44.6	47
30.8	45
40.1	29
38.1	25
34.7	21
56.4	18
37.9	13

Cell: 5.7058 7.3088 9.4920 Å, 90.00 90.00 90.00°
Element x y z (fractional)
K  0.2500  0.1569  0.0000
K  0.2500  0.6569  0.5000
K  0.7500  0.3431  0.5000
K  0.7500  0.8431  0.0000
Na  0.2500  0.1593  0.6476
Na  0.2500  0.6593  0.1476
Na  0.7500  0.3407  0.1476
Na  0.7500  0.8407  0.6476
As  0.2500  0.2709  0.3275
As  0.2500  0.7709  0.8275
As  0.7500  0.2291  0.8275
As  0.7500  0.7291  0.3275
Pt  0.0000  0.0000  0.3182
Pt  0.0000  0.5000  0.8182
Pt  0.5000  0.0000  0.3182
Pt  0.5000  0.5000  0.8182